Starting from the PBE+U geometry in Alexandria, the PXRD pattern of CuMoBrO4 was calculated for Cu Kα.

The 8 most intense peaks (2θ from 5° to 70°), sorted by position:
2θ (°), I (rel.)
22.93, 100.0
24.25, 76.5
27.09, 94.2
32.02, 67.9
35.78, 38.1
36.67, 29.7
43.20, 31.7
43.32, 21.6

Structural model:
```
data_CuMoBrO4
_chemical_formula_sum 'Cu2 Mo2 Br2 O8'
_symmetry_space_group_name_H-M 'P 1'
_symmetry_Int_Tables_number 1
_cell_length_a 5.758
_cell_length_b 5.758
_cell_length_c 7.912
_cell_angle_alpha 99.34
_cell_angle_beta 99.34
_cell_angle_gamma 69.73
loop_
_symmetry_equiv_pos_as_xyz
'x,y,z'
loop_
_atom_site_label
_atom_site_fract_x
_atom_site_fract_y
_atom_site_fract_z
Cu1 0.240 0.240 0.219
Cu2 0.760 0.760 0.781
Mo1 0.380 0.380 0.757
Mo2 0.620 0.620 0.243
Br1 0.033 0.033 0.340
Br2 0.967 0.967 0.660
O1 0.059 0.504 0.814
O2 0.362 0.362 0.535
O3 0.427 0.427 0.149
O4 0.496 0.941 0.186
O5 0.504 0.059 0.814
O6 0.573 0.573 0.851
O7 0.638 0.638 0.465
O8 0.941 0.496 0.186
```